For Zn5Si2N6, a structure optimized by DFT (GGA-PBE) gives the simulated powder XRD pattern in this record (Cu Kα).

Crystal structure
```
data_Zn5Si2N6
_cell_length_a 8.8661
_cell_length_b 5.6011
_cell_length_c 13.3665
_cell_angle_alpha 90.00
_cell_angle_beta 92.66
_cell_angle_gamma 90.00
_space_group_name_H-M_alt 'C 1 2/c 1'
_space_group_IT_number 15
_space_group_name_Hall '-C 2yc'
loop_
_atom_site_label
_atom_site_fract_x
_atom_site_fract_y
_atom_site_fract_z
Zn1 0.0000 0.0436 0.2500
Zn2 0.1144 0.2354 0.5374
Zn3 0.1418 0.4318 0.7274
Si1 0.2122 0.2562 0.9070
N1 0.0271 0.2429 0.8587
N2 0.1778 0.2287 0.1975
N3 0.2454 0.4771 0.0033
```

Top 10 peaks for 15 to 90 degrees two-theta, in order of falling intensity:
2θ = 34.7°, intensity 100, (0 2 2)
2θ = 26.7°, intensity 55, (0 0 4)
2θ = 27.9°, intensity 49, (1 1 3)
2θ = 20.1°, intensity 32, (1 1 1)
2θ = 34.3°, intensity 31, (3 1 0)
2θ = 36.4°, intensity 30, (3 1 -2)
2θ = 24.6°, intensity 25, (2 0 2)
2θ = 46.5°, intensity 24, (2 0 6)
2θ = 32.7°, intensity 23, (0 2 1)
2θ = 39.1°, intensity 22, (1 1 5)